Diffraction record for CaTb4Pm3. The XRD peak list is calculated, not measured: it uses DFT lattice parameters and positions (PBE) and Cu Kα.

Main lines, by angle (2θ = 10–90°):
Position (°2θ), I (rel.)
30.20, 100
34.95, 34
35.13, 17
50.39, 30
59.70, 14
59.83, 14

Atomic structure:
```
16
Lattice="6.2631 0.0000 0.0000 0.0000 7.2739 0.0000 -2.1230 0.0000 11.8252" Properties=species:S:1:pos:R:3 pbc="T T T"
Ca -0.5307 0.9307 2.9563
Ca -1.5922 6.3432 8.8689
Tb -1.5922 2.7098 8.8689
Tb -0.5307 4.5640 2.9563
Tb 0.5143 2.7727 5.9578
Tb 1.5758 4.5011 0.0453
Tb 2.6008 2.7910 2.9563
Tb 1.5393 4.4829 8.8689
Tb 2.5643 2.7727 11.7799
Tb 3.6258 4.5011 5.8673
Pm 1.6256 0.9395 0.0073
Pm 0.5641 6.3344 5.9199
Pm 1.5393 0.9748 8.8689
Pm 2.6008 6.2991 2.9563
Pm 3.5760 0.9395 5.9053
Pm 2.5145 6.3344 11.8179
```


Diffraction record for CaPm2Tl. The XRD peak list is calculated, not measured: it uses DFT lattice parameters and positions (PBE) and Cu Kα.

Main lines, by angle (2θ = 10–90°):
Position (°2θ), I (rel.)
29.03, 21
31.77, 36
32.69, 47
33.19, 100
57.51, 21
61.14, 22

Atomic structure:
```
8
Lattice="5.6328 0.0000 0.0000 0.0000 7.0584 0.0000 -0.0020 0.0000 6.2702" Properties=species:S:1:pos:R:3 pbc="T T T"
Ca 1.4037 1.7646 2.2075
Ca 4.2271 5.2938 4.0627
Pm 1.4086 0.0361 5.1765
Pm 1.4086 3.4931 5.1765
Pm 4.2221 3.5653 1.0937
Pm 4.2221 7.0223 1.0937
Tl 1.4061 5.2938 2.0573
Tl 4.2246 1.7646 4.2129
```


Diffraction record for CaPm8Tl2. The XRD peak list is calculated, not measured: it uses DFT lattice parameters and positions (PBE) and Cu Kα.

Main lines, by angle (2θ = 10–90°):
Position (°2θ), I (rel.)
28.48, 60
29.07, 58
31.68, 100
32.04, 69
36.54, 66
37.08, 39

Atomic structure:
```
11
Lattice="7.5113 -5.5874 0.0000 7.5113 5.5874 0.0000 -0.9704 0.0000 4.9505" Properties=species:S:1:pos:R:3 pbc="T T T"
Ca 0.0000 0.0000 0.0000
Pm 5.8065 2.6348 1.0541
Pm 3.5609 0.0000 0.6515
Pm 8.2456 2.6348 3.8964
Pm 5.6821 0.0000 3.5210
Pm 8.3701 0.0000 1.4294
Pm 5.8065 -2.6348 1.0541
Pm 10.4913 0.0000 4.2990
Pm 8.2456 -2.6348 3.8964
Tl 1.3175 0.0000 2.7409
Tl 12.7347 0.0000 2.2095
```


Diffraction record for CaPmTl4. The XRD peak list is calculated, not measured: it uses DFT lattice parameters and positions (PBE) and Cu Kα.

Main lines, by angle (2θ = 10–90°):
Position (°2θ), I (rel.)
30.43, 51
30.56, 100
34.73, 37
35.33, 72
46.84, 31
50.90, 24

Atomic structure:
```
6
Lattice="5.0813 0.0000 0.0000 2.4587 4.4500 0.0000 0.0966 0.0677 7.8154" Properties=species:S:1:pos:R:3 pbc="T T T"
Ca 0.0000 0.0000 0.0000
Pm 0.0483 0.0339 3.9077
Tl 2.5231 1.4995 1.4894
Tl 2.5793 1.5267 5.3034
Tl 5.0574 2.9911 2.5120
Tl 5.1136 3.0182 6.3260
```


Diffraction record for CaPm5Tl4. The XRD peak list is calculated, not measured: it uses DFT lattice parameters and positions (PBE) and Cu Kα.

Main lines, by angle (2θ = 10–90°):
Position (°2θ), I (rel.)
31.23, 100
34.03, 79
48.91, 18
57.19, 16
59.18, 33
60.90, 11

Atomic structure:
```
10
Lattice="3.7248 0.0000 0.0000 0.0000 3.7248 0.0000 0.0000 0.0000 22.3953" Properties=species:S:1:pos:R:3 pbc="T T T"
Ca 0.0000 0.0000 0.0000
Pm 1.8624 1.8624 2.8309
Pm 1.8624 1.8624 6.9909
Pm 1.8624 1.8624 11.1977
Pm 1.8624 1.8624 15.4044
Pm 1.8624 1.8624 19.5644
Tl 0.0000 0.0000 4.8646
Tl 0.0000 0.0000 9.0963
Tl 0.0000 0.0000 13.2991
Tl 0.0000 0.0000 17.5307
```


Diffraction record for Ca3PmTl2. The XRD peak list is calculated, not measured: it uses DFT lattice parameters and positions (PBE) and Cu Kα.

Main lines, by angle (2θ = 10–90°):
Position (°2θ), I (rel.)
21.74, 65
22.58, 73
29.78, 42
31.16, 100
31.94, 74
33.69, 51

Atomic structure:
```
12
Lattice="5.3206 0.0000 0.0000 0.0000 9.8899 0.0000 0.0000 0.0000 7.2617" Properties=species:S:1:pos:R:3 pbc="T T T"
Ca 0.0000 0.5519 0.0000
Ca 0.0000 3.0990 2.6198
Ca 0.0000 6.7909 6.2507
Ca 0.0000 9.3380 3.6309
Ca 2.6603 1.7747 5.0945
Ca 2.6603 8.1152 1.4637
Pm 2.6603 4.4421 0.4301
Pm 2.6603 5.4478 4.0610
Tl 0.0000 3.6168 5.8789
Tl 0.0000 6.2731 2.2481
Tl 2.6603 1.4363 1.8146
Tl 2.6603 8.4536 5.4455
```


Diffraction record for Ca2Pm5Tl4. The XRD peak list is calculated, not measured: it uses DFT lattice parameters and positions (PBE) and Cu Kα.

Main lines, by angle (2θ = 10–90°):
Position (°2θ), I (rel.)
20.66, 28
26.55, 49
32.13, 44
32.49, 100
34.23, 45
44.10, 29

Atomic structure:
```
11
Lattice="11.2454 -1.8735 0.0000 11.2454 1.8735 0.0000 -1.6435 0.0000 8.6208" Properties=species:S:1:pos:R:3 pbc="T T T"
Ca 1.3281 0.0000 1.2340
Ca 19.5192 0.0000 7.3867
Pm -0.8217 0.0000 4.3104
Pm 7.0448 0.0000 0.3965
Pm 7.0501 0.0000 4.2444
Pm 13.7972 0.0000 4.3763
Pm 13.8025 0.0000 8.2242
Tl 4.3733 0.0000 2.3651
Tl 9.8468 0.0000 1.7585
Tl 11.0005 0.0000 6.8623
Tl 16.4740 0.0000 6.2557
```


Diffraction record for CaPm2YTl4. The XRD peak list is calculated, not measured: it uses DFT lattice parameters and positions (PBE) and Cu Kα.

Main lines, by angle (2θ = 10–90°):
Position (°2θ), I (rel.)
23.03, 21
32.75, 99
32.85, 100
47.06, 36
58.39, 18
58.60, 57

Atomic structure:
```
8
Lattice="2.7266 1.5742 8.9448 -2.7266 1.5742 8.9448 0.0000 -3.1484 8.9448" Properties=species:S:1:pos:R:3 pbc="T T T"
Ca 0.0000 0.0000 0.0000
Pm 0.0000 0.0000 6.7992
Pm 0.0000 0.0000 20.0351
Y 0.0000 0.0000 13.4172
Tl 0.0000 0.0000 3.4060
Tl 0.0000 0.0000 10.1272
Tl 0.0000 0.0000 16.7072
Tl 0.0000 0.0000 23.4284
```


> Number 3 is which compound?

CaPm8Tl2